Starting from a cell relaxed with PBE+U, the X-ray powder pattern of NaCr2PO6 was simulated for a wavelength of 1.5418 Å.
Peak positions follow from Bragg's law for the DFT cell and can differ from measured ones.

Largest 8 diffraction maxima, by intensity, 10 to 80 degrees two-theta:
(1 0 4), 2θ 33.22, d 2.697, intensity 100
(0 1 2), 2θ 24.27, d 3.668, intensity 92
(2 -1 6), 2θ 54.22, d 1.692, intensity 83
(1 1 0), 2θ 35.90, d 2.501, intensity 74
(3 0 0), 2θ 64.53, d 1.444, intensity 38
(2 -1 3), 2θ 41.09, d 2.197, intensity 37
(0 2 4), 2θ 49.72, d 1.834, intensity 36
(3 -1 4), 2θ 62.83, d 1.479, intensity 34

Atomic structure:
```
data_NaCr2PO6
_space_group_name_H-M_alt 'R 3'
_space_group_IT_number 146
_space_group_name_Hall 'R 3'
_cell_length_a 5.0028
_cell_length_b 5.0028
_cell_length_c 13.7808
_cell_angle_alpha 90.00
_cell_angle_beta 90.00
_cell_angle_gamma 120.00
loop_
_atom_site_label
_atom_site_type_symbol
_atom_site_fract_x
_atom_site_fract_y
_atom_site_fract_z
_atom_site_occupancy
Na1 Na 0.0000 0.0000 0.0000 1
Cr1 Cr 0.0000 0.0000 0.2860 1
Cr2 Cr 0.0000 0.0000 0.7956 1
P1 P 0.0000 0.0000 0.4792 1
O1 O 0.0080 0.3003 0.5443 1
O2 O 0.0270 0.7447 0.3984 1
```